Record 1
Diffraction record for MgNb3SiO10. The X-ray diffraction stick pattern is computed, not measured: it uses a DFT-relaxed cell (PBE, the Materials Project) and λ = 1.5418 Å (Cu Kα).
Peak positions follow from Bragg's law for the DFT cell and can differ from measured ones.

Principal peaks in the range 10° ≤ 2θ ≤ 90°, by angle:
hkl	two_theta	I (rel.)
0 0 1	14.5	35
1 1 1	23.9	48
1 -1 0	24.5	60
0 0 2	29.2	41
1 1 2	30.2	100
0 2 0	33.1	41

```
data_MgNb3SiO10
_chemical_formula_sum 'Mg1 Nb3 Si1 O10'
_space_group_name_H-M_alt 'P 1'
_space_group_IT_number 1
_cell_length_a 5.0023
_cell_length_b 5.5573
_cell_length_c 6.7178
_cell_angle_alpha 77.51
_cell_angle_beta 69.05
_cell_angle_gamma 88.36
loop_
_space_group_symop_operation_xyz
'x,y,z'
loop_
_atom_site_label
_atom_site_type_symbol
_atom_site_fract_x
_atom_site_fract_y
_atom_site_fract_z
Mg1 Mg 0.0000 0.0000 0.0000
Nb1 Nb 0.1218 0.6252 0.7447
Nb2 Nb 0.3587 0.1067 0.3269
Nb3 Nb 0.6335 0.1542 0.7318
Si1 Si 0.8318 0.5804 0.3382
O1 O 0.0701 0.7109 0.4506
O2 O 0.0742 0.6289 0.0626
O3 O 0.3326 0.9939 0.6572
O4 O 0.3410 0.1270 0.0371
O5 O 0.5347 0.5099 0.6098
O6 O 0.5833 0.3853 0.2693
O7 O 0.6784 0.8675 0.2759
O8 O 0.7944 0.8522 0.8152
O9 O 0.9048 0.3172 0.8404
O10 O 0.9624 0.2698 0.4294
```

=====

Record 2
Diffraction record for Sm2MgNb2O8. The X-ray diffraction stick pattern is computed, not measured: it uses a DFT-relaxed cell (PBE, the Materials Project) and λ = 1.5418 Å (Cu Kα).
Peak positions follow from Bragg's law for the DFT cell and can differ from measured ones.

Principal peaks in the range 10° ≤ 2θ ≤ 90°, by angle:
hkl	two_theta	I (rel.)
0 2 0	12.3	71
0 2 1	24.8	100
2 2 -1	29.0	47
0 4 1	32.9	22
2 4 -1	36.3	46
0 0 2	43.7	19

```
data_Sm2MgNb2O8
_chemical_formula_sum 'Sm4 Mg2 Nb4 O16'
_space_group_name_H-M_alt 'C 1 2 1'
_space_group_IT_number 5
_cell_length_a 6.8149
_cell_length_b 14.4170
_cell_length_c 5.3130
_cell_angle_alpha 90.00
_cell_angle_beta 128.77
_cell_angle_gamma 90.00
loop_
_space_group_symop_operation_xyz
'x,y,z'
'-x,y,-z'
'x+1/2,y+1/2,z'
'-x+1/2,y+1/2,-z'
loop_
_atom_site_label
_atom_site_type_symbol
_atom_site_fract_x
_atom_site_fract_y
_atom_site_fract_z
Sm1 Sm 0.0000 0.0000 0.0000
Sm2 Sm 0.0000 0.3191 0.5000
Mg1 Mg 0.0000 0.6495 0.5000
Nb1 Nb 0.0000 0.4898 0.0000
Nb2 Nb 0.0000 0.8455 0.5000
O1 O 0.1664 0.5783 0.9008
O2 O 0.2173 0.7446 0.5194
O3 O 0.2393 0.4483 0.4742
O4 O 0.2399 0.8809 0.9758
```

=====

Record 3
Diffraction record for Sm2MgNb2O8. The X-ray diffraction stick pattern is computed, not measured: it uses a DFT-relaxed cell (PBE, the Materials Project) and λ = 1.5418 Å (Cu Kα).
Peak positions follow from Bragg's law for the DFT cell and can differ from measured ones.

Principal peaks in the range 10° ≤ 2θ ≤ 90°, by angle:
hkl	two_theta	I (rel.)
0 2 1	27.6	100
2 2 -1	27.8	97
0 4 0	31.1	27
2 0 0	32.0	28
2 4 0	45.2	32
2 4 -2	46.1	31

```
data_Sm2MgNb2O8
_chemical_formula_sum 'Sm4 Mg2 Nb4 O16'
_space_group_name_H-M_alt 'C 1 2 1'
_space_group_IT_number 5
_cell_length_a 7.7394
_cell_length_b 11.5013
_cell_length_c 5.4060
_cell_angle_alpha 90.00
_cell_angle_beta 133.65
_cell_angle_gamma 90.00
loop_
_space_group_symop_operation_xyz
'x,y,z'
'-x,y,-z'
'x+1/2,y+1/2,z'
'-x+1/2,y+1/2,-z'
loop_
_atom_site_label
_atom_site_type_symbol
_atom_site_fract_x
_atom_site_fract_y
_atom_site_fract_z
Sm1 Sm 0.0000 0.0000 0.0000
Sm2 Sm 0.0000 0.2572 0.5000
Mg1 Mg 0.0000 0.7024 0.0000
Nb1 Nb 0.0000 0.4700 0.0000
Nb2 Nb 0.0000 0.7203 0.5000
O1 O 0.1594 0.8214 0.3914
O2 O 0.1832 0.4087 0.9117
O3 O 0.2106 0.5846 0.4072
O4 O 0.2389 0.1630 0.0333
```

=====

Record 4
Diffraction record for Mg14NbSnO16. The X-ray diffraction stick pattern is computed, not measured: it uses a DFT-relaxed cell (PBE, the Materials Project) and λ = 1.5418 Å (Cu Kα).
Peak positions follow from Bragg's law for the DFT cell and can differ from measured ones.

Principal peaks in the range 10° ≤ 2θ ≤ 90°, by angle:
hkl	two_theta	I (rel.)
1 1 0	14.3	41
2 2 1	35.5	45
0 0 2	40.9	52
4 0 0	41.4	100
4 0 2	59.6	60
4 4 0	59.9	29

```
data_Mg14NbSnO16
_chemical_formula_sum 'Mg14 Nb1 Sn1 O16'
_space_group_name_H-M_alt 'P 4/m m m'
_space_group_IT_number 123
_space_group_name_Hall '-P 4 2'
_cell_length_a 8.7316
_cell_length_b 8.7316
_cell_length_c 4.4098
_cell_angle_alpha 90.00
_cell_angle_beta 90.00
_cell_angle_gamma 90.00
loop_
_atom_site_label
_atom_site_type_symbol
_atom_site_fract_x
_atom_site_fract_y
_atom_site_fract_z
Mg1 Mg 0.0000 0.2532 0.0000
Mg2 Mg 0.0000 0.5000 0.5000
Mg3 Mg 0.2415 0.5000 0.0000
Mg4 Mg 0.2477 0.2477 0.5000
Nb1 Nb 0.0000 0.0000 0.5000
Sn1 Sn 0.5000 0.5000 0.5000
O1 O 0.0000 0.0000 0.0000
O2 O 0.0000 0.2592 0.5000
O3 O 0.0000 0.5000 0.0000
O4 O 0.2295 0.5000 0.5000
O5 O 0.2501 0.2501 0.0000
O6 O 0.5000 0.5000 0.0000
```

=====

Record 5
Diffraction record for Mg14NbSnO16. The X-ray diffraction stick pattern is computed, not measured: it uses a DFT-relaxed cell (PBE, the Materials Project) and λ = 1.5418 Å (Cu Kα).
Peak positions follow from Bragg's law for the DFT cell and can differ from measured ones.

Principal peaks in the range 10° ≤ 2θ ≤ 90°, by angle:
hkl	two_theta	I (rel.)
0 1 0	10.1	75
1 2 2	35.4	75
0 0 4	40.9	88
2 0 0	41.1	88
0 4 0	41.4	83
2 4 0	59.7	100

```
data_Mg14NbSnO16
_chemical_formula_sum 'Mg14 Nb1 Sn1 O16'
_space_group_name_H-M_alt 'P m m m'
_space_group_IT_number 47
_cell_length_a 4.3975
_cell_length_b 8.7251
_cell_length_c 8.8160
_cell_angle_alpha 90.00
_cell_angle_beta 90.00
_cell_angle_gamma 90.00
loop_
_space_group_symop_operation_xyz
'x,y,z'
'-x,-y,-z'
'-x,-y,z'
'x,y,-z'
'x,-y,-z'
'-x,y,z'
'-x,y,-z'
'x,-y,z'
loop_
_atom_site_label
_atom_site_type_symbol
_atom_site_fract_x
_atom_site_fract_y
_atom_site_fract_z
Mg1 Mg 0.0000 0.0000 0.0000
Mg2 Mg 0.0000 0.0000 0.5000
Mg3 Mg 0.0000 0.2425 0.2481
Mg4 Mg 0.5000 0.0000 0.2491
Mg5 Mg 0.5000 0.2401 0.5000
Mg6 Mg 0.5000 0.2443 0.0000
Mg7 Mg 0.5000 0.5000 0.2466
Nb1 Nb 0.0000 0.5000 0.0000
Sn1 Sn 0.0000 0.5000 0.5000
O1 O 0.0000 0.0000 0.2465
O2 O 0.0000 0.2267 0.5000
O3 O 0.0000 0.2374 0.0000
O4 O 0.0000 0.5000 0.2426
O5 O 0.5000 0.0000 0.0000
O6 O 0.5000 0.0000 0.5000
O7 O 0.5000 0.2502 0.2497
O8 O 0.5000 0.5000 0.0000
O9 O 0.5000 0.5000 0.5000
```

=====

Record 6
Diffraction record for MgTiNbO4. The X-ray diffraction stick pattern is computed, not measured: it uses a DFT-relaxed cell (PBE, the Materials Project) and λ = 1.5418 Å (Cu Kα).
Peak positions follow from Bragg's law for the DFT cell and can differ from measured ones.

Principal peaks in the range 10° ≤ 2θ ≤ 90°, by angle:
hkl	two_theta	I (rel.)
0 0 1	23.6	100
1 1 1	37.0	46
4 0 0	42.9	38
0 2 0	43.0	75
4 2 0	62.3	33
2 2 -2	62.5	33

```
data_MgTiNbO4
_chemical_formula_sum 'Mg2 Ti2 Nb2 O8'
_space_group_name_H-M_alt 'C 1 m 1'
_space_group_IT_number 8
_cell_length_a 9.4205
_cell_length_b 4.2059
_cell_length_c 4.2040
_cell_angle_alpha 90.00
_cell_angle_beta 116.36
_cell_angle_gamma 90.00
loop_
_space_group_symop_operation_xyz
'x,y,z'
'x,-y,z'
'x+1/2,y+1/2,z'
'x+1/2,-y+1/2,z'
loop_
_atom_site_label
_atom_site_type_symbol
_atom_site_fract_x
_atom_site_fract_y
_atom_site_fract_z
Mg1 Mg 0.0000 0.0000 0.0000
Ti1 Ti 0.2500 0.0000 0.7477
Nb1 Nb 0.0000 0.5000 0.4999
O1 O 0.0005 0.5000 0.0004
O2 O 0.2420 0.0000 0.2403
O3 O 0.2579 0.5000 0.7561
O4 O 0.4994 0.5000 0.4992
```

=====

Record 7
Diffraction record for MgTi3Nb3O12. The X-ray diffraction stick pattern is computed, not measured: it uses a DFT-relaxed cell (PBE, the Materials Project) and λ = 1.5418 Å (Cu Kα).
Peak positions follow from Bragg's law for the DFT cell and can differ from measured ones.

Principal peaks in the range 10° ≤ 2θ ≤ 90°, by angle:
hkl	two_theta	I (rel.)
-1 1 1	25.0	90
1 1 -1	25.5	100
1 -2 2	35.2	59
2 -1 1	35.8	30
-2 2 2	51.5	31
3 -2 0	51.7	30

```
data_MgTi3Nb3O12
_chemical_formula_sum 'Mg1 Ti3 Nb3 O12'
_space_group_name_H-M_alt 'P 1'
_space_group_IT_number 1
_cell_length_a 5.6898
_cell_length_b 5.8966
_cell_length_c 7.6441
_cell_angle_alpha 112.23
_cell_angle_beta 98.94
_cell_angle_gamma 105.66
loop_
_space_group_symop_operation_xyz
'x,y,z'
loop_
_atom_site_label
_atom_site_type_symbol
_atom_site_fract_x
_atom_site_fract_y
_atom_site_fract_z
Mg1 Mg 0.0000 0.0000 0.0000
Ti1 Ti 0.3222 0.5137 0.3398
Ti2 Ti 0.3659 0.9457 0.8020
Ti3 Ti 0.6736 0.4729 0.6975
Nb1 Nb 0.6517 0.0323 0.2279
Nb2 Nb 0.9928 0.0039 0.5098
Nb3 Nb 0.9960 0.5086 0.0173
O1 O 0.0471 0.1809 0.3195
O2 O 0.0865 0.6944 0.3341
O3 O 0.2595 0.3281 0.0587
O4 O 0.2745 0.8272 0.0255
O5 O 0.3949 0.1734 0.6779
O6 O 0.4335 0.6658 0.6447
O7 O 0.5730 0.3182 0.3907
O8 O 0.6147 0.7900 0.3633
O9 O 0.7136 0.1657 0.0028
O10 O 0.7341 0.6956 0.9873
O11 O 0.9316 0.2920 0.7181
O12 O 0.9896 0.8173 0.7119
```

=====

Please write out number 2 again, unchanged.
Diffraction record for Sm2MgNb2O8. The X-ray diffraction stick pattern is computed, not measured: it uses a DFT-relaxed cell (PBE, the Materials Project) and λ = 1.5418 Å (Cu Kα).
Peak positions follow from Bragg's law for the DFT cell and can differ from measured ones.

Principal peaks in the range 10° ≤ 2θ ≤ 90°, by angle:
hkl	two_theta	I (rel.)
0 2 0	12.3	71
0 2 1	24.8	100
2 2 -1	29.0	47
0 4 1	32.9	22
2 4 -1	36.3	46
0 0 2	43.7	19

```
data_Sm2MgNb2O8
_chemical_formula_sum 'Sm4 Mg2 Nb4 O16'
_space_group_name_H-M_alt 'C 1 2 1'
_space_group_IT_number 5
_cell_length_a 6.8149
_cell_length_b 14.4170
_cell_length_c 5.3130
_cell_angle_alpha 90.00
_cell_angle_beta 128.77
_cell_angle_gamma 90.00
loop_
_space_group_symop_operation_xyz
'x,y,z'
'-x,y,-z'
'x+1/2,y+1/2,z'
'-x+1/2,y+1/2,-z'
loop_
_atom_site_label
_atom_site_type_symbol
_atom_site_fract_x
_atom_site_fract_y
_atom_site_fract_z
Sm1 Sm 0.0000 0.0000 0.0000
Sm2 Sm 0.0000 0.3191 0.5000
Mg1 Mg 0.0000 0.6495 0.5000
Nb1 Nb 0.0000 0.4898 0.0000
Nb2 Nb 0.0000 0.8455 0.5000
O1 O 0.1664 0.5783 0.9008
O2 O 0.2173 0.7446 0.5194
O3 O 0.2393 0.4483 0.4742
O4 O 0.2399 0.8809 0.9758
```